Zr3BiF15: calculated powder X-ray diffraction pattern (a wavelength of 1.5418 Å), based on a cell relaxed with GGA-PBE.
Intensities are scaled so that the largest is 100.

Cell and atoms:
```
Zr3BiF15
1.0
5.3689 -6.3302 0.0000
5.3689 6.3302 0.0000
-2.3495 0.0000 7.9581
Zr Bi F
6 2 30
direct
0.2444 0.7556 0.7500
0.2601 0.3218 0.1733
0.3218 0.2601 0.6733
0.6782 0.7399 0.3267
0.7399 0.6782 0.8267
0.7556 0.2444 0.2500
0.1785 0.8215 0.2500
0.8215 0.1785 0.7500
0.0074 0.2728 0.2781
0.0524 0.2509 0.9747
0.0676 0.1959 0.6477
0.1573 0.5320 0.1834
0.1959 0.0676 0.1477
0.2257 0.4977 0.7167
0.2323 0.7188 0.5000
0.2509 0.0524 0.4747
0.2728 0.0074 0.7781
0.2812 0.7677 0.0000
0.3195 0.3494 0.4427
0.3494 0.3195 0.9427
0.4683 0.5317 0.2500
0.4680 0.8427 0.3166
0.4977 0.2257 0.2167
0.5023 0.7743 0.7833
0.5320 0.1573 0.6834
0.5317 0.4683 0.7500
0.6506 0.6805 0.0573
0.6805 0.6506 0.5573
0.7188 0.2323 0.0000
0.7272 0.9926 0.2219
0.7491 0.9476 0.5253
0.7677 0.2812 0.5000
0.7743 0.5023 0.2833
0.8041 0.9324 0.8523
0.8427 0.4680 0.8166
0.9324 0.8041 0.3523
0.9476 0.7491 0.0253
0.9926 0.7272 0.7219
```

Peak list (12 most intense, 2θ from 10° to 90°, by intensity)
2θ/deg, I (rel.)
22.3, 100.0
30.3, 28.0
43.9, 27.6
22.8, 23.8
22.6, 20.4
27.1, 19.6
13.9, 14.7
24.1, 11.9
49.2, 11.9
44.9, 10.9
28.0, 10.9
44.2, 10.7